For Tb4Pr5Dy2, the PBE geometry in Alexandria gives the simulated powder XRD pattern in this record (Cu Kα).
No peak broadening, texture or thermal motion is included.

Atomic structure:
Cell lengths 3.5460, 9.2638, 23.6613 Å; angles 90.00, 90.00, 90.00 degrees
Space group Immm (No. 71)
One atom of each set of equivalent atoms:
Tb 0.0000 0.0000 0.0966 [4 per cell]
Tb 0.0000 0.3109 0.5000 [4 per cell]
Pr 0.0000 0.2023 0.3522 [8 per cell]
Pr 0.0000 0.5000 0.0000 [2 per cell]
Dy 0.0000 0.0000 0.2302 [4 per cell]

Peak list (12 most intense, 2θ from 5° to 70°, most intense first)
h k l	d_spacing	Rel. int.
1 2 1	2.796	100
0 3 3	2.875	65
0 2 6	3.003	61
1 1 6	2.534	48
1 0 7	2.447	48
1 1 2	3.189	41
1 2 13	1.528	38
1 3 4	2.166	28
0 0 8	2.958	27
0 1 7	3.175	26
1 1 0	3.312	26
0 1 1	8.626	23

---

For Tb3MgTl4, the PBE geometry in Alexandria gives the simulated powder XRD pattern in this record (Cu Kα).
No peak broadening, texture or thermal motion is included.

Atomic structure:
Cell lengths 9.9504, 6.5232, 6.5951 Å; angles 90.00, 90.00, 90.00 degrees
Space group Pmn2_1 (No. 31)
One atom of each set of equivalent atoms:
Tb 0.0000 0.0210 0.0000 [2 per cell]
Tb 0.2493 0.2662 0.7278 [4 per cell]
Mg 0.0000 0.4921 0.4676 [2 per cell]
Tl 0.0000 0.5159 0.9651 [2 per cell]
Tl 0.0000 0.9920 0.4921 [2 per cell]
Tl 0.2477 0.7600 0.7312 [4 per cell]

Peak list (12 most intense, 2θ from 5° to 70°, most intense first)
h k l	d_spacing	Rel. int.
2 0 2	2.749	100
2 2 0	2.728	97
0 2 2	2.319	61
4 2 2	1.696	47
4 0 0	2.488	39
2 2 4	1.411	24
2 4 2	1.402	24
1 1 1	4.204	16
6 0 2	1.482	15
6 2 0	1.478	15
4 0 4	1.374	11
4 4 0	1.364	11